The following is a computed powder X-ray diffraction pattern of LaTePb4. It was derived from DFT lattice parameters and positions (GGA-PBE), using λ = 1.5418 Å (Cu Kα).
Lines closer than 0.1° are merged.

Atomic structure:
a = 6.4739 Å, b = 6.4739 Å, c = 6.4739 Å
α = 60.00°, β = 60.00°, γ = 60.00°
Element x y z (fractional)
La: 0.0000 0.0000 0.0000
Te: 0.2500 0.2500 0.2500
Pb: 0.1226 0.6258 0.6258
Pb: 0.6258 0.1226 0.6258
Pb: 0.6258 0.6258 0.1226
Pb: 0.6258 0.6258 0.6258

Largest 6 diffraction maxima, most intense first, 2θ from 10° to 90°:
2θ = 32.43°, rel. 100
2θ = 33.92°, rel. 56
2θ = 51.89°, rel. 36
2θ = 56.89°, rel. 34
2θ = 67.91°, rel. 24
2θ = 80.60°, rel. 23